Starting from a crystal structure in the Materials Project, relaxed with GGA-PBE, the PXRD pattern of Dy2GaAg was simulated for Cu Ka.
No peak broadening, texture or thermal motion is included.

Atomic structure:
Lattice parameters (Å, degrees): 7.245 7.245 7.245 90.00 90.00 90.00
Space group Fm-3m (No. 225)
Inequivalent atoms, fractional coordinates:
Dy 0.250 0.250 0.250 [8 per cell]
Ga 0.000 0.000 0.000 [4 per cell]
Ag 0.000 0.000 0.500 [4 per cell]

Top 6 peaks for 15° ≤ 2θ ≤ 90°, by angle:
2θ/deg, d/Å, I/Imax
24.58, 3.622, 9
35.03, 2.561, 100
50.38, 1.811, 18
62.84, 1.479, 36
74.02, 1.281, 11
84.60, 1.145, 16



Starting from a crystal structure in the Materials Project, relaxed with GGA-PBE, the PXRD pattern of TePd3 was simulated for Cu Ka.
No peak broadening, texture or thermal motion is included.

Atomic structure:
Lattice parameters (Å, degrees): 4.219 4.219 7.739 90.00 90.00 90.00
Space group I4/mmm (No. 139)
Inequivalent atoms, fractional coordinates:
Te 0.000 0.000 0.000 [2 per cell]
Pd 0.000 0.000 0.500 [2 per cell]
Pd 0.000 0.500 0.250 [4 per cell]

Top 6 peaks for 15° ≤ 2θ ≤ 90°, by angle:
2θ/deg, d/Å, I/Imax
38.09, 2.363, 100
42.87, 2.109, 36
46.97, 1.935, 14
62.24, 1.492, 12
65.46, 1.426, 20
75.36, 1.261, 26



Starting from a crystal structure in the Materials Project, relaxed with GGA-PBE, the PXRD pattern of LiY3 was simulated for Cu Ka.
No peak broadening, texture or thermal motion is included.

Atomic structure:
Lattice parameters (Å, degrees): 7.800 7.800 7.800 90.00 90.00 90.00
Space group Fm-3m (No. 225)
Inequivalent atoms, fractional coordinates:
Li 0.000 0.000 0.000 [4 per cell]
Y 0.000 0.000 0.500 [4 per cell]
Y 0.250 0.250 0.250 [8 per cell]

Top 6 peaks for 15° ≤ 2θ ≤ 90°, by angle:
2θ/deg, d/Å, I/Imax
19.71, 4.503, 23
32.47, 2.758, 100
38.27, 2.352, 12
46.58, 1.950, 18
57.92, 1.592, 36
77.38, 1.233, 15



Starting from a crystal structure in the Materials Project, relaxed with GGA-PBE, the PXRD pattern of K2ReCl5O was simulated for Cu Ka.
No peak broadening, texture or thermal motion is included.

Atomic structure:
Lattice parameters (Å, degrees): 7.207 7.207 17.975 90.00 90.00 90.00
Space group I4/mmm (No. 139)
Inequivalent atoms, fractional coordinates:
K 0.000 0.500 0.000 [4 per cell]
K 0.000 0.500 0.250 [4 per cell]
Re 0.000 0.000 0.104 [4 per cell]
Cl 0.000 0.000 0.237 [4 per cell]
Cl 0.234 0.234 0.112 [16 per cell]
O 0.000 0.000 0.000 [2 per cell]
O 0.000 0.000 0.500 [2 per cell]

Top 6 peaks for 15° ≤ 2θ ≤ 90°, by angle:
2θ/deg, d/Å, I/Imax
17.40, 5.096, 67
26.44, 3.370, 73
27.73, 3.217, 60
28.13, 3.172, 66
35.22, 2.548, 100
37.48, 2.400, 40



Starting from a crystal structure in the Materials Project, relaxed with GGA-PBE, the PXRD pattern of Ac3Cl was simulated for Cu Ka.
No peak broadening, texture or thermal motion is included.

Atomic structure:
Lattice parameters (Å, degrees): 7.9187 7.9187 5.7200 90.00 90.00 120.00
Space group P6_3/mmc (No. 194)
Inequivalent atoms, fractional coordinates:
Ac 0.1713 0.3426 0.2500 [6 per cell]
Cl 0.3333 0.6667 0.7500 [2 per cell]

Top 6 peaks for 15° ≤ 2θ ≤ 90°, by angle:
2θ/deg, d/Å, I/Imax
20.22, 4.393, 21
25.99, 3.429, 25
30.39, 2.941, 100
31.28, 2.860, 21
45.84, 1.980, 22
56.54, 1.628, 23



Starting from a crystal structure in the Materials Project, relaxed with GGA-PBE, the PXRD pattern of RbEuGeS4 was simulated for Cu Ka.
No peak broadening, texture or thermal motion is included.

Atomic structure:
Lattice parameters (Å, degrees): 6.801 6.645 9.295 90.00 108.53 90.00
Space group P2_1 (No. 4)
Inequivalent atoms, fractional coordinates:
Rb 0.232 0.000 0.436 [2 per cell]
Eu 0.266 0.016 0.948 [2 per cell]
Ge 0.280 0.486 0.173 [2 per cell]
S 0.075 0.434 0.936 [2 per cell]
S 0.091 0.495 0.326 [2 per cell]
S 0.481 0.741 0.783 [2 per cell]
S 0.491 0.751 0.203 [2 per cell]

Top 6 peaks for 15° ≤ 2θ ≤ 90°, by angle:
2θ/deg, d/Å, I/Imax
19.18, 4.627, 70
24.24, 3.672, 67
26.84, 3.322, 84
31.05, 2.880, 100
31.71, 2.822, 83
38.93, 2.314, 80



Starting from a crystal structure in the Materials Project, relaxed with GGA-PBE, the PXRD pattern of RbGeI3 was simulated for Cu Ka.
No peak broadening, texture or thermal motion is included.

Atomic structure:
Lattice parameters (Å, degrees): 5.956 5.956 5.956 90.00 90.00 90.00
Space group Pm-3m (No. 221)
Inequivalent atoms, fractional coordinates:
Rb 0.000 0.000 0.000 [1 per cell]
Ge 0.500 0.500 0.500 [1 per cell]
I 0.000 0.500 0.500 [3 per cell]

Top 6 peaks for 15° ≤ 2θ ≤ 90°, by angle:
2θ/deg, d/Å, I/Imax
25.91, 3.439, 100
30.00, 2.978, 99
42.95, 2.106, 73
50.84, 1.796, 46
53.28, 1.719, 26
70.74, 1.332, 33



Starting from a crystal structure in the Materials Project, relaxed with GGA-PBE, the PXRD pattern of Rb3Hg was simulated for Cu Ka.
No peak broadening, texture or thermal motion is included.

Atomic structure:
Lattice parameters (Å, degrees): 10.054 10.054 10.054 90.00 90.00 90.00
Space group Fm-3m (No. 225)
Inequivalent atoms, fractional coordinates:
Rb 0.000 0.000 0.000 [4 per cell]
Rb 0.250 0.250 0.250 [8 per cell]
Hg 0.000 0.000 0.500 [4 per cell]

Top 6 peaks for 15° ≤ 2θ ≤ 90°, by angle:
2θ/deg, d/Å, I/Imax
25.05, 3.555, 100
35.72, 2.513, 20
44.13, 2.052, 44
51.41, 1.777, 14
58.02, 1.590, 19
70.03, 1.343, 22